Structure and theoretical X-ray powder pattern of Li4Cr3FeO8 (the PBE+U geometry in Alexandria; copper Kα).

Crystal structure
Lattice parameters (Å, degrees): 5.123 5.897 10.215 90.06 99.55 106.70
Space group P-1 (No. 2)
Unique sites:
Li1 0.000 0.000 0.000 (multiplicity 1)
Li2 0.000 0.000 0.500 (multiplicity 1)
Li3 0.000 0.249 0.253 (multiplicity 2)
Li4 0.000 0.500 0.000 (multiplicity 1)
Li5 0.000 0.500 0.500 (multiplicity 1)
Li6 0.003 0.752 0.250 (multiplicity 2)
Cr1 0.500 0.124 0.874 (multiplicity 2)
Cr2 0.500 0.373 0.623 (multiplicity 2)
Cr3 0.500 0.374 0.127 (multiplicity 2)
Fe1 0.500 0.125 0.376 (multiplicity 2)
O1 0.274 0.318 0.939 (multiplicity 2)
O2 0.274 0.569 0.191 (multiplicity 2)
O3 0.274 0.819 0.940 (multiplicity 2)
O4 0.276 0.065 0.688 (multiplicity 2)
O5 0.276 0.069 0.193 (multiplicity 2)
O6 0.276 0.316 0.439 (multiplicity 2)
O7 0.276 0.572 0.687 (multiplicity 2)
O8 0.279 0.824 0.441 (multiplicity 2)

Largest 10 diffraction maxima, sorted by position, 2θ from 5° to 70°:
h k l	Position (°2θ)	intensity
1 0 0	18.36	100.0
0 0 4	35.69	26.7
-1 2 2	35.72	13.3
0 2 2	37.34	11.5
1 0 4	43.34	79.4
2 0 -4	47.44	12.4
2 0 4	57.25	10.9
2 2 2	62.88	20.7
1 -4 0	63.05	21.7
0 4 0	66.26	9.1